[1]
The following is a computed PXRD pattern of Tm11Cd9Ga4. It was derived from the PBE geometry in Alexandria, using CuKα.
Kinematic intensities with the Lorentz-polarization factor, no thermal factor.

Peak list (10 most intense, 2θ from 15° to 90°, sorted by position)
2θ (°)  I/Imax
32.19  10
32.77  10
33.32  13
34.77  41
35.02  100
37.22  10
37.44  8
50.74  14
62.50  10
62.98  14

Structure:
abc: 13.1621 13.1621 3.5987
angles: 90.00 90.00 112.76
Fractional coordinates of all 24 atoms:
Tm 0.0000 0.0000 0.0000
Tm 0.0627 0.4100 0.0000
Tm 0.1636 0.8364 0.0000
Tm 0.2996 0.2996 0.0000
Tm 0.3699 0.6301 0.0000
Tm 0.4100 0.0627 0.0000
Tm 0.5900 0.9373 0.0000
Tm 0.6301 0.3699 0.0000
Tm 0.7004 0.7004 0.0000
Tm 0.8364 0.1636 0.0000
Tm 0.9373 0.5900 0.0000
Cd 0.0680 0.2134 0.5000
Cd 0.1578 0.6305 0.5000
Cd 0.2134 0.0680 0.5000
Cd 0.3695 0.8422 0.5000
Cd 0.5000 0.5000 0.5000
Cd 0.6305 0.1578 0.5000
Cd 0.7866 0.9320 0.5000
Cd 0.8422 0.3695 0.5000
Cd 0.9320 0.7866 0.5000
Ga 0.2485 0.4492 0.5000
Ga 0.4492 0.2485 0.5000
Ga 0.5508 0.7515 0.5000
Ga 0.7515 0.5508 0.5000



[2]
The following is a computed PXRD pattern of LiTh2Pb3. It was derived from the PBE geometry in Alexandria, using CuKα.
Kinematic intensities with the Lorentz-polarization factor, no thermal factor.

Peak list (10 most intense, 2θ from 15° to 90°, sorted by position)
2θ (°)  I/Imax
27.33  43
27.52  67
29.35  100
35.85  34
40.67  85
41.69  20
45.78  36
56.13  17
65.23  22
67.69  20

Structure:
abc: 7.0574 7.0574 7.0574
angles: 138.42 125.33 70.95
Fractional coordinates of all 6 atoms:
Li 0.0000 0.0000 0.0000
Th 0.3168 0.3168 0.0000
Th 0.6832 0.6832 0.0000
Pb 0.1402 0.6402 0.5000
Pb 0.5000 0.0000 0.5000
Pb 0.8598 0.3598 0.5000



[3]
The following is a computed PXRD pattern of BaNa2Zn2Se4. It was derived from the PBE geometry in Alexandria, using CuKα.
Kinematic intensities with the Lorentz-polarization factor, no thermal factor.

Peak list (10 most intense, 2θ from 15° to 90°, sorted by position)
2θ (°)  I/Imax
23.60  48
25.26  42
29.73  56
30.46  100
34.19  42
34.41  38
35.48  64
43.48  37
45.11  47
56.86  30

Structure:
abc: 8.3044 8.3044 8.9146
angles: 117.71 117.71 29.03
Fractional coordinates of all 9 atoms:
Ba 0.0000 0.0000 0.0000
Na 0.1085 0.1085 0.6343
Na 0.8915 0.8915 0.3657
Zn 0.3305 0.3305 0.6190
Zn 0.6695 0.6695 0.3810
Se 0.2316 0.2316 0.2928
Se 0.4994 0.4994 0.7192
Se 0.5006 0.5006 0.2808
Se 0.7684 0.7684 0.7072



[4]
The following is a computed PXRD pattern of Ac2AlPPd6. It was derived from the PBE geometry in Alexandria, using CuKα.
Kinematic intensities with the Lorentz-polarization factor, no thermal factor.

Peak list (10 most intense, 2θ from 15° to 90°, sorted by position)
2θ (°)  I/Imax
18.83  15
27.53  19
30.26  48
31.64  22
33.56  100
38.19  63
39.72  22
55.39  15
56.83  26
57.09  15

Structure:
abc: 6.4780 6.4780 6.8853
angles: 117.94 117.94 60.08
Fractional coordinates of all 10 atoms:
Ac 0.2243 0.2243 0.1738
Ac 0.7757 0.7757 0.8262
Al 0.5000 0.5000 0.0000
P 0.0000 0.0000 0.5000
Pd 0.2456 0.2456 0.6703
Pd 0.2463 0.6792 0.6705
Pd 0.3208 0.7537 0.3295
Pd 0.6792 0.2463 0.6705
Pd 0.7537 0.3208 0.3295
Pd 0.7544 0.7544 0.3297



[5]
The following is a computed PXRD pattern of Rb2MgH2I2. It was derived from the PBE geometry in Alexandria, using CuKα.
Kinematic intensities with the Lorentz-polarization factor, no thermal factor.

Peak list (10 most intense, 2θ from 15° to 90°, sorted by position)
2θ (°)  I/Imax
19.67  43
23.78  25
26.39  100
31.05  49
33.13  48
37.67  39
42.84  22
49.26  26
49.59  26
63.63  24

Structure:
abc: 9.6393 9.6393 9.6393
angles: 151.31 151.31 41.01
Fractional coordinates of all 7 atoms:
Rb 0.1106 0.1106 0.0000
Rb 0.8894 0.8894 0.0000
Mg 0.5000 0.5000 0.0000
H 0.0000 0.5000 0.5000
H 0.5000 0.0000 0.5000
I 0.3392 0.3392 0.0000
I 0.6608 0.6608 0.0000



[6]
The following is a computed PXRD pattern of Pm3DyAl4. It was derived from the PBE geometry in Alexandria, using CuKα.
Kinematic intensities with the Lorentz-polarization factor, no thermal factor.

Peak list (10 most intense, 2θ from 15° to 90°, sorted by position)
2θ (°)  I/Imax
24.22  59
34.52  100
42.62  18
49.62  18
55.96  25
61.85  36
72.80  11
78.02  12
83.13  16
88.19  7

Structure:
abc: 3.6731 3.6731 14.7073
angles: 90.00 90.00 90.00
Fractional coordinates of all 8 atoms:
Pm 0.0000 0.0000 0.0000
Pm 0.0000 0.0000 0.2541
Pm 0.0000 0.0000 0.7459
Dy 0.0000 0.0000 0.5000
Al 0.5000 0.5000 0.1269
Al 0.5000 0.5000 0.3829
Al 0.5000 0.5000 0.6171
Al 0.5000 0.5000 0.8731



[7]
The following is a computed PXRD pattern of Li2CrH4. It was derived from the PBE geometry in Alexandria, using CuKα.
Kinematic intensities with the Lorentz-polarization factor, no thermal factor.

Peak list (10 most intense, 2θ from 15° to 90°, sorted by position)
2θ (°)  I/Imax
16.89  100
29.02  93
34.16  14
37.98  65
39.60  34
43.34  27
52.00  18
53.28  12
65.46  14
70.78  19

Structure:
abc: 10.9808 10.9808 10.9808
angles: 156.08 156.08 34.09
Fractional coordinates of all 28 atoms:
Li 0.0471 0.2971 0.7500
Li 0.2029 0.4529 0.7500
Li 0.2971 0.0471 0.2500
Li 0.4529 0.2029 0.2500
Li 0.5471 0.7971 0.7500
Li 0.7029 0.9529 0.7500
Li 0.7971 0.5471 0.2500
Li 0.9529 0.7029 0.2500
Cr 0.1250 0.8750 0.2500
Cr 0.3750 0.6250 0.7500
Cr 0.6250 0.3750 0.2500
Cr 0.8750 0.1250 0.7500
H 0.0424 0.7924 0.2500
H 0.0440 0.7940 0.5880
H 0.2060 0.2940 0.2500
H 0.2076 0.9576 0.2500
H 0.2924 0.5424 0.7500
H 0.2940 0.5440 0.0880
H 0.4560 0.0440 0.7500
H 0.4576 0.7076 0.7500
H 0.5424 0.2924 0.2500
H 0.5440 0.9560 0.2500
H 0.7060 0.4560 0.9120
H 0.7076 0.4576 0.2500
H 0.7924 0.0424 0.7500
H 0.7940 0.7060 0.7500
H 0.9560 0.2060 0.4120
H 0.9576 0.2076 0.7500



[8]
The following is a computed PXRD pattern of P5Au3. It was derived from the PBE geometry in Alexandria, using CuKα.
Kinematic intensities with the Lorentz-polarization factor, no thermal factor.

Peak list (10 most intense, 2θ from 15° to 90°, sorted by position)
2θ (°)  I/Imax
19.33  76
19.86  54
22.83  41
24.99  46
26.52  80
26.99  100
29.28  70
30.51  44
34.24  45
44.75  48

Structure:
abc: 6.7943 7.0633 8.0615
angles: 99.33 112.65 98.40
Fractional coordinates of all 16 atoms:
P 0.0000 0.0000 0.0000
P 0.0088 0.3210 0.3719
P 0.0637 0.4850 0.1802
P 0.2596 0.2758 0.1269
P 0.3396 0.1493 0.7267
P 0.4523 0.8739 0.6731
P 0.5407 0.6605 0.0958
P 0.7504 0.3252 0.6856
P 0.7841 0.0296 0.7232
P 0.8229 0.8487 0.4912
Au 0.2307 0.7903 0.9585
Au 0.3676 0.2597 0.4628
Au 0.4291 0.7220 0.3587
Au 0.6719 0.4039 0.9526
Au 0.8190 0.9748 0.2202
Au 0.9397 0.5572 0.5808